Computed powder diffraction line list
Compound: SbW2O8
Radiation: λ = 1.5418 Å (Cu Kα)
Structure: a cell relaxed with GGA+U
Kinematic intensities with the Lorentz-polarization factor, no thermal factor.

Atomic structure:
a b c (Å): 5.1330 5.8459 10.8695
angles (deg): 90.00 116.05 90.00
Space group P2/c (No. 13)
Inequivalent atoms, fractional coordinates:
Sb  0.0000  0.1503  0.2500 [2 per cell]
W  0.2284  0.3322  0.9927 [4 per cell]
O  0.1620  0.4049  0.6099 [4 per cell]
O  0.2214  0.1386  0.1264 [4 per cell]
O  0.2466  0.1129  0.8734 [4 per cell]
O  0.3343  0.3884  0.4019 [4 per cell]

Top 12 peaks for 2θ = 15–90°, by angle:
- 18.17°, intensity 63
- 19.25°, intensity 27
- 23.07°, intensity 58
- 23.74°, intensity 72
- 29.11°, intensity 100
- 29.92°, intensity 95
- 34.99°, intensity 33
- 35.34°, intensity 48
- 40.33°, intensity 24
- 50.42°, intensity 34
- 51.44°, intensity 28
- 52.46°, intensity 30